1.
For AlZn5Ag2, the GGA-PBE geometry in Alexandria gives the simulated powder diffraction line list in this record (Cu Kα (weighted mean of Kα1 and Kα2)).

Principal peaks in the range 10 to 90 degrees two-theta, in order of rising 2θ:
index  2θ/deg  d (Å)  Rel. int.
1 1 0  20.21  4.394  120
1 1 2  34.05  2.633  117
2 1 1  35.06  2.560  68
2 0 2  39.92  2.258  1000
2 2 0  41.09  2.197  460
3 0 1  45.94  1.976  66
0 0 4  55.92  1.644  80
4 0 0  59.51  1.553  129
3 2 3  69.36  1.355  51
2 2 4  71.69  1.316  128
4 2 2  74.08  1.280  231
4 0 4  86.11  1.129  68

Cell and atoms:
Lattice parameters (Å, degrees): 6.2135 6.2135 6.5775 90.00 90.00 90.00
Space group I4mm (No. 107)
Asymmetric unit:
1 Al 0.0000 0.0000 0.0000 [2 per cell]
2 Zn 0.0000 0.0000 0.5961 [2 per cell]
3 Zn 0.2215 0.2215 0.2964 [8 per cell]
4 Ag 0.0000 0.5000 0.0448 [4 per cell]

2.
For Cs4P2Se9, the GGA-PBE geometry in Alexandria gives the simulated powder diffraction line list in this record (Cu Kα (weighted mean of Kα1 and Kα2)).

Principal peaks in the range 10 to 90 degrees two-theta, in order of rising 2θ:
index  2θ/deg  d (Å)  Rel. int.
0 2 1  16.73  5.299  306
2 2 -2  24.84  3.585  1000
1 1 5  25.45  3.499  815
0 0 6  26.42  3.374  774
2 2 -3  26.56  3.356  353
3 1 0  27.12  3.288  997
1 3 3  29.32  3.046  343
3 1 -3  29.46  3.032  385
2 2 4  30.24  2.956  612
2 2 -5  31.69  2.824  587
0 4 2  33.83  2.649  450
5 1 -5  48.81  1.866  321

Cell and atoms:
Lattice parameters (Å, degrees): 10.3717 10.9803 20.2854 90.00 93.67 90.00
Space group C2/c (No. 15)
Asymmetric unit:
1 Cs 0.0344 0.2481 0.4728 [8 per cell]
2 Cs 0.1629 0.1069 0.8231 [8 per cell]
3 P 0.2354 0.0109 0.6236 [8 per cell]
4 Se 0.0000 0.4008 0.2500 [4 per cell]
5 Se 0.0406 0.4835 0.8488 [8 per cell]
6 Se 0.1236 0.1156 0.1803 [8 per cell]
7 Se 0.1839 0.2003 0.6421 [8 per cell]
8 Se 0.2444 0.4631 0.9811 [8 per cell]

3.
For Li4Be5, the GGA-PBE geometry in Alexandria gives the simulated powder diffraction line list in this record (Cu Kα (weighted mean of Kα1 and Kα2)).

Principal peaks in the range 10 to 90 degrees two-theta, in order of rising 2θ:
index  2θ/deg  d (Å)  Rel. int.
1 1 0  15.70  5.645  183
3 0 1  45.56  1.991  1000
3 3 0  48.37  1.882  408
4 1 1  56.57  1.627  23
0 0 2  61.84  1.500  103
4 4 0  66.23  1.411  9
6 0 0  70.83  1.330  135
3 3 2  82.17  1.173  177
7 1 0  86.14  1.129  12
6 3 1  88.36  1.106  280

Cell and atoms:
Lattice parameters (Å, degrees): 7.9828 7.9828 3.0006 90.00 90.00 90.00
Space group I4/mmm (No. 139)
Asymmetric unit:
1 Li 0.0000 0.3196 0.0000 [8 per cell]
2 Be 0.0000 0.0000 0.0000 [2 per cell]
3 Be 0.1601 0.1601 0.5000 [8 per cell]

4.
For RbCdInP2, the GGA-PBE geometry in Alexandria gives the simulated powder diffraction line list in this record (Cu Kα (weighted mean of Kα1 and Kα2)).

Principal peaks in the range 10 to 90 degrees two-theta, in order of rising 2θ:
index  2θ/deg  d (Å)  Rel. int.
2 0 2  23.85  3.731  599
1 1 -2  27.43  3.252  510
3 1 0  28.09  3.176  1000
3 1 -1  28.58  3.123  291
1 1 -3  34.05  2.633  728
4 0 -3  34.51  2.599  336
6 0 -2  40.31  2.237  182
5 1 1  40.78  2.213  169
0 2 0  41.38  2.182  342
5 1 2  45.09  2.011  328
2 2 2  48.32  1.883  178
1 1 5  52.55  1.741  261

Cell and atoms:
Lattice parameters (Å, degrees): 14.0802 4.3636 9.9326 90.00 99.29 90.00
Space group C2/m (No. 12)
Asymmetric unit:
1 Rb 0.1599 0.0000 0.1620 [4 per cell]
2 Cd 0.1780 0.0000 0.5716 [4 per cell]
3 In 0.0466 0.5000 0.6907 [4 per cell]
4 P 0.1190 0.0000 0.8124 [4 per cell]
5 P 0.1279 0.5000 0.4342 [4 per cell]

5.
For Ca2Sn5Pd3, the GGA-PBE geometry in Alexandria gives the simulated powder diffraction line list in this record (Cu Kα (weighted mean of Kα1 and Kα2)).

Principal peaks in the range 10 to 90 degrees two-theta, in order of rising 2θ:
index  2θ/deg  d (Å)  Rel. int.
2 0 0  15.68  5.652  508
1 2 1  20.94  4.243  665
3 2 1  30.73  2.909  304
2 0 2  31.66  2.826  1000
2 4 0  32.05  2.793  651
1 3 2  35.49  2.529  234
0 4 2  39.36  2.289  810
4 0 2  42.32  2.136  489
4 4 0  42.61  2.122  651
5 2 1  44.71  2.027  262
0 0 4  56.41  1.631  267
4 4 4  73.18  1.293  214

Cell and atoms:
Lattice parameters (Å, degrees): 11.3035 12.8510 6.5242 90.00 90.00 90.00
Space group Ibam (No. 72)
Asymmetric unit:
1 Ca 0.2296 0.1486 0.0000 [8 per cell]
2 Sn 0.0000 0.0000 0.2500 [4 per cell]
3 Sn 0.0000 0.2766 0.2500 [8 per cell]
4 Sn 0.1667 0.4132 0.0000 [8 per cell]
5 Pd 0.0000 0.5000 0.2500 [4 per cell]
6 Pd 0.1110 0.1407 0.5000 [8 per cell]

6.
For Ta3Mo6W, the GGA-PBE geometry in Alexandria gives the simulated powder diffraction line list in this record (Cu Kα (weighted mean of Kα1 and Kα2)).

Principal peaks in the range 10 to 90 degrees two-theta, in order of rising 2θ:
index  2θ/deg  d (Å)  Rel. int.
1 1 -2  31.68  2.824  788
3 1 -2  32.44  2.760  831
0 2 0  35.16  2.552  204
4 0 0  36.54  2.459  790
2 0 -3  38.74  2.324  398
2 2 0  39.79  2.265  1000
1 1 2  40.55  2.225  799
5 1 -2  42.39  2.132  712
4 0 -4  51.59  1.772  212
4 2 -4  63.96  1.456  279
6 2 0  67.95  1.379  379
0 4 0  74.32  1.276  257

Cell and atoms:
Lattice parameters (Å, degrees): 11.8379 5.1041 7.0977 90.00 123.81 90.00
Space group C2/m (No. 12)
Asymmetric unit:
1 Ta 0.0000 0.0000 0.0000 [2 per cell]
2 Ta 0.0123 0.5000 0.2683 [4 per cell]
3 Mo 0.1864 0.0000 0.4356 [4 per cell]
4 Mo 0.2421 0.2483 0.8169 [8 per cell]
5 W 0.0000 0.0000 0.5000 [2 per cell]

7.
For Ac2MgAlSe6, the GGA-PBE geometry in Alexandria gives the simulated powder diffraction line list in this record (Cu Kα (weighted mean of Kα1 and Kα2)).

Principal peaks in the range 10 to 90 degrees two-theta, in order of rising 2θ:
index  2θ/deg  d (Å)  Rel. int.
1 1 -1  17.80  4.984  442
1 1 0  19.75  4.494  465
1 1 -2  19.89  4.465  457
0 2 1  24.36  3.654  602
0 2 2  28.74  3.106  586
2 1 -1  31.11  2.875  504
2 1 -3  31.28  2.860  432
1 1 -4  31.92  2.804  722
0 2 3  34.94  2.568  1000
0 0 4  35.14  2.554  713
1 3 -1  37.18  2.418  694
1 3 -2  38.24  2.354  659

Cell and atoms:
Lattice parameters (Å, degrees): 6.4650 7.8268 12.0293 90.00 121.88 90.00
Space group P2_1/c (No. 14)
Asymmetric unit:
1 Ac 0.1914 0.1049 0.2480 [4 per cell]
2 Mg 0.5000 0.0000 0.0000 [2 per cell]
3 Al 0.0000 0.0000 0.5000 [2 per cell]
4 Se 0.1164 0.1933 0.9571 [4 per cell]
5 Se 0.2908 0.6749 0.9604 [4 per cell]
6 Se 0.3305 0.0166 0.7431 [4 per cell]

8.
For Mg2Pb, the GGA-PBE geometry in Alexandria gives the simulated powder diffraction line list in this record (Cu Kα (weighted mean of Kα1 and Kα2)).

Principal peaks in the range 10 to 90 degrees two-theta, in order of rising 2θ:
index  2θ/deg  d (Å)  Rel. int.
1 1 0  19.63  4.522  1000
2 0 0  22.03  4.035  366
0 0 1  26.07  3.418  288
2 0 -1  30.11  2.968  364
1 1 -1  30.68  2.914  301
0 2 0  32.80  2.730  297
1 1 1  34.90  2.571  501
3 1 0  37.26  2.413  422
2 2 0  39.87  2.261  168
3 1 -1  41.08  2.197  188
2 2 -1  45.12  2.009  244
1 3 1  59.91  1.544  211

Cell and atoms:
Lattice parameters (Å, degrees): 8.2940 5.4602 3.5127 90.00 103.36 90.00
Space group C2/m (No. 12)
Asymmetric unit:
1 Mg 0.1717 0.0000 0.2962 [4 per cell]
2 Pb 0.0000 0.5000 0.0000 [2 per cell]

9.
For Ca5Ag2Rh2, the GGA-PBE geometry in Alexandria gives the simulated powder diffraction line list in this record (Cu Kα (weighted mean of Kα1 and Kα2)).

Principal peaks in the range 10 to 90 degrees two-theta, in order of rising 2θ:
index  2θ/deg  d (Å)  Rel. int.
3 1 1  23.59  3.771  1000
2 2 1  28.24  3.160  408
3 1 2  31.11  2.874  824
4 2 0  32.59  2.747  967
0 2 2  32.86  2.726  641
4 2 1  34.63  2.590  777
1 3 1  37.25  2.414  573
1 1 3  37.40  2.405  542
5 1 2  38.86  2.317  426
7 1 1  43.73  2.070  561
2 4 0  48.54  1.876  421
9 3 1  65.94  1.417  455

Cell and atoms:
Lattice parameters (Å, degrees): 15.6646 7.7289 7.6914 90.00 90.00 90.00
Space group Cmce (No. 64)
Asymmetric unit:
1 Ca 0.0000 0.0000 0.0000 [4 per cell]
2 Ca 0.1258 0.1734 0.3292 [16 per cell]
3 Ag 0.2124 0.0000 0.0000 [8 per cell]
4 Rh 0.0000 0.1234 0.6219 [8 per cell]

10.
For Rb2AgSnCl6, the GGA-PBE geometry in Alexandria gives the simulated powder diffraction line list in this record (Cu Kα (weighted mean of Kα1 and Kα2)).

Principal peaks in the range 10 to 90 degrees two-theta, in order of rising 2θ:
index  2θ/deg  d (Å)  Rel. int.
1 1 0  16.66  5.321  195
2 0 0  23.65  3.763  1000
2 0 2  29.07  3.072  93
0 0 4  33.55  2.671  239
2 2 0  33.75  2.655  470
2 0 4  41.49  2.177  156
3 1 2  41.61  2.170  310
2 2 4  48.33  1.883  321
4 0 0  48.48  1.878  159
4 2 0  54.63  1.680  141
4 0 4  60.25  1.536  161
5 1 2  65.72  1.421  163

Cell and atoms:
Lattice parameters (Å, degrees): 7.5107 7.5107 10.6835 90.00 90.00 90.00
Space group I4/mmm (No. 139)
Asymmetric unit:
1 Rb 0.0000 0.5000 0.2500 [4 per cell]
2 Ag 0.0000 0.0000 0.0000 [2 per cell]
3 Sn 0.0000 0.0000 0.5000 [2 per cell]
4 Cl 0.0000 0.0000 0.2524 [4 per cell]
5 Cl 0.2488 0.2488 0.5000 [8 per cell]

11.
For CsCaH2CF, the GGA-PBE geometry in Alexandria gives the simulated powder diffraction line list in this record (Cu Kα (weighted mean of Kα1 and Kα2)).

Principal peaks in the range 10 to 90 degrees two-theta, in order of rising 2θ:
index  2θ/deg  d (Å)  Rel. int.
2 0 0  12.33  7.178  773
1 1 0  23.29  3.820  593
4 0 0  24.81  3.589  625
2 0 -1  27.42  3.253  375
2 0 1  27.57  3.235  376
3 1 0  29.26  3.052  633
1 1 -1  34.04  2.634  1000
3 1 -1  38.42  2.343  201
3 1 1  38.60  2.333  209
5 1 0  38.73  2.325  181
0 0 2  50.11  1.820  332
2 2 1  54.25  1.691  225

Cell and atoms:
Lattice parameters (Å, degrees): 14.3562 3.9624 3.6366 90.00 90.40 90.00
Space group Cm (No. 8)
Asymmetric unit:
1 Cs 0.0000 0.0000 0.0000 [2 per cell]
2 Ca 0.2299 0.5000 0.5052 [2 per cell]
3 H 0.3206 0.0000 0.7728 [2 per cell]
4 H 0.3220 0.0000 0.2432 [2 per cell]
5 C 0.2701 0.0000 0.0087 [2 per cell]
6 F 0.0754 0.5000 0.5022 [2 per cell]

12.
For CsSc2CdW, the GGA-PBE geometry in Alexandria gives the simulated powder diffraction line list in this record (Cu Kα (weighted mean of Kα1 and Kα2)).

Principal peaks in the range 10 to 90 degrees two-theta, in order of rising 2θ:
index  2θ/deg  d (Å)  Rel. int.
1 0 0  16.19  5.476  550
1 1 0  22.97  3.872  1000
1 1 1  28.44  3.138  868
2 0 0  32.70  2.738  978
0 0 2  33.47  2.677  459
1 1 2  40.98  2.202  449
2 2 0  46.93  1.936  349
2 0 2  47.49  1.914  673
3 1 1  55.79  1.648  257
2 2 2  58.86  1.569  350
3 1 2  64.03  1.454  246
4 2 2  87.62  1.114  232

Cell and atoms:
Lattice parameters (Å, degrees): 5.4763 5.4763 5.3550 90.00 90.00 90.00
Space group P4/mmm (No. 123)
Asymmetric unit:
1 Cs 0.0000 0.0000 0.0000 [1 per cell]
2 Sc 0.0000 0.5000 0.5000 [2 per cell]
3 Cd 0.5000 0.5000 0.5000 [1 per cell]
4 W 0.5000 0.5000 0.0000 [1 per cell]

13.
For LiSn2Hg2, the GGA-PBE geometry in Alexandria gives the simulated powder diffraction line list in this record (Cu Kα (weighted mean of Kα1 and Kα2)).

Principal peaks in the range 10 to 90 degrees two-theta, in order of rising 2θ:
index  2θ/deg  d (Å)  Rel. int.
1 1 0  16.80  5.279  223
2 0 0  23.84  3.733  117
2 1 1  33.45  2.679  1000
3 1 0  38.12  2.361  184
0 0 2  40.17  2.245  134
4 0 0  48.82  1.866  103
3 3 0  51.97  1.760  105
4 1 1  54.66  1.679  124
3 1 2  56.58  1.627  120
3 3 2  67.65  1.385  107
2 1 3  68.74  1.366  130
5 2 1  71.19  1.325  163

Cell and atoms:
Lattice parameters (Å, degrees): 7.4653 7.4653 4.4893 90.00 90.00 90.00
Space group P4/mbm (No. 127)
Asymmetric unit:
1 Li 0.0000 0.0000 0.0000 [2 per cell]
2 Sn 0.1643 0.3357 0.5000 [4 per cell]
3 Hg 0.1471 0.6471 0.0000 [4 per cell]